1.
# Ce3Al3Pd2Pt
Theoretical X-ray powder pattern, Cu Kα (λ = 1.5418 Å). Input: DFT lattice parameters and positions (GGA-PBE).
Peak positions follow from Bragg's law for the DFT cell and can differ from measured ones.

Principal peaks in the range 10° ≤ 2θ ≤ 90°, in order of rising 2θ:
| two_theta | I/Imax |
| --- | --- |
| 25.7 | 19.0 |
| 26.1 | 34.5 |
| 26.2 | 35.1 |
| 32.7 | 39.5 |
| 32.9 | 43.5 |
| 34.1 | 100.0 |
| 34.2 | 78.4 |
| 39.8 | 49.9 |
| 40.6 | 55.2 |
| 69.8 | 20.2 |

Structural model:
```
Ce3Al3Pd2Pt
1.0
7.146 0.000 0.000
0.000 4.440 0.000
-0.215 0.000 23.707
Ce Al Pd Pt
12 12 8 4
Cartesian
0.000 0.000 0.000
7.073 0.000 7.902
-0.128 0.000 15.800
3.136 2.220 3.974
3.010 2.220 19.771
3.110 2.220 11.874
3.496 0.000 8.945
3.589 0.000 1.042
3.463 0.000 16.842
6.708 2.220 4.985
6.588 2.220 20.789
6.683 2.220 12.866
0.855 0.000 3.037
0.727 0.000 18.840
0.824 0.000 10.922
2.258 2.220 7.018
2.142 2.220 22.814
2.228 2.220 14.910
4.412 0.000 5.922
4.287 0.000 21.728
4.384 0.000 13.821
5.852 2.220 1.947
5.724 2.220 17.750
5.818 2.220 9.825
1.361 2.220 1.660
1.232 2.220 17.463
1.761 0.000 5.609
1.634 0.000 21.417
1.726 0.000 13.509
5.355 0.000 3.353
5.228 0.000 19.161
5.315 0.000 11.240
1.331 2.220 9.557
4.911 2.220 7.285
4.792 2.220 23.107
4.885 2.220 15.199
```

2.
# CeAlTcPd
Theoretical X-ray powder pattern, Cu Kα (λ = 1.5418 Å). Input: DFT lattice parameters and positions (GGA-PBE).
Peak positions follow from Bragg's law for the DFT cell and can differ from measured ones.

Principal peaks in the range 10° ≤ 2θ ≤ 90°, in order of rising 2θ:
| two_theta | I/Imax |
| --- | --- |
| 23.3 | 21.9 |
| 27.0 | 1.7 |
| 38.6 | 100.0 |
| 45.6 | 11.3 |
| 55.7 | 16.9 |
| 61.2 | 4.7 |
| 69.8 | 34.0 |
| 74.7 | 3.5 |
| 82.7 | 10.7 |
| 87.4 | 3.6 |

Structural model:
```
CeAlTcPd
1.0
0.000 3.301 3.301
3.301 0.000 3.301
3.301 3.301 0.000
Ce Al Tc Pd
1 1 1 1
Cartesian
0.000 0.000 0.000
3.301 3.301 3.301
4.951 4.951 4.951
1.650 1.650 1.650
```

3.
# CeY2Al3Pd3
Theoretical X-ray powder pattern, Cu Kα (λ = 1.5418 Å). Input: DFT lattice parameters and positions (GGA-PBE).
Peak positions follow from Bragg's law for the DFT cell and can differ from measured ones.

Principal peaks in the range 10° ≤ 2θ ≤ 90°, in order of rising 2θ:
| two_theta | I/Imax |
| --- | --- |
| 24.3 | 27.1 |
| 24.6 | 28.1 |
| 26.4 | 22.9 |
| 33.2 | 27.8 |
| 33.4 | 76.1 |
| 36.2 | 100.0 |
| 36.5 | 57.6 |
| 43.0 | 27.3 |
| 44.4 | 22.7 |
| 45.3 | 35.0 |

Structural model:
```
CeY2Al3Pd3
1.0
4.005 0.000 0.000
0.000 6.238 3.659
0.000 -6.238 3.659
Ce Y Al Pd
1 2 3 3
Cartesian
0.000 0.000 0.000
0.000 -2.585 2.716
0.000 2.585 2.716
2.003 0.000 2.540
2.003 -1.518 5.101
2.003 1.518 5.101
0.000 0.000 4.262
2.003 -4.200 4.214
2.003 4.200 4.214
```

4.
# CePm2Al2
Theoretical X-ray powder pattern, Cu Kα (λ = 1.5418 Å). Input: DFT lattice parameters and positions (GGA-PBE).
Peak positions follow from Bragg's law for the DFT cell and can differ from measured ones.

Principal peaks in the range 10° ≤ 2θ ≤ 90°, in order of rising 2θ:
| two_theta | I/Imax |
| --- | --- |
| 22.3 | 70.2 |
| 26.1 | 57.5 |
| 31.7 | 100.0 |
| 34.6 | 99.6 |
| 36.3 | 25.0 |
| 41.6 | 67.1 |
| 45.3 | 25.2 |
| 59.4 | 24.6 |
| 63.8 | 26.7 |
| 65.2 | 21.7 |

Structural model:
```
CePm2Al2
1.0
8.917 0.000 0.000
0.000 8.917 0.000
0.000 0.000 3.411
Ce Pm Al
2 4 4
Cartesian
0.000 0.000 0.000
4.459 4.459 0.000
1.156 3.303 0.000
3.303 7.761 0.000
5.614 1.156 0.000
7.761 5.614 0.000
1.518 5.976 1.705
2.941 1.518 1.705
5.976 7.399 1.705
7.399 2.941 1.705
```

5.
# CePmPuAl
Theoretical X-ray powder pattern, Cu Kα (λ = 1.5418 Å). Input: DFT lattice parameters and positions (GGA-PBE).
Peak positions follow from Bragg's law for the DFT cell and can differ from measured ones.

Principal peaks in the range 10° ≤ 2θ ≤ 90°, in order of rising 2θ:
| two_theta | I/Imax |
| --- | --- |
| 20.7 | 15.1 |
| 24.0 | 18.4 |
| 34.1 | 100.0 |
| 40.3 | 8.6 |
| 42.1 | 5.8 |
| 49.1 | 18.2 |
| 55.3 | 8.1 |
| 61.1 | 37.9 |
| 71.9 | 11.7 |
| 82.1 | 16.6 |

Structural model:
```
CePmPuAl
1.0
0.000 3.714 3.714
3.714 0.000 3.714
3.714 3.714 0.000
Ce Pm Pu Al
1 1 1 1
Cartesian
0.000 0.000 0.000
5.571 5.571 5.571
1.857 1.857 1.857
3.714 3.714 3.714
```

6.
# CePm2Al2Zn2
Theoretical X-ray powder pattern, Cu Kα (λ = 1.5418 Å). Input: DFT lattice parameters and positions (GGA-PBE).
Peak positions follow from Bragg's law for the DFT cell and can differ from measured ones.

Principal peaks in the range 10° ≤ 2θ ≤ 90°, in order of rising 2θ:
| two_theta | I/Imax |
| --- | --- |
| 22.6 | 51.9 |
| 25.9 | 38.5 |
| 32.2 | 70.8 |
| 34.7 | 100.0 |
| 39.2 | 96.8 |
| 51.6 | 18.7 |
| 53.3 | 29.1 |
| 65.6 | 32.2 |
| 66.6 | 17.2 |
| 68.1 | 27.6 |

Structural model:
```
CePm2Al2Zn2
1.0
2.300 1.328 9.052
-2.300 1.328 9.052
0.000 -2.656 9.052
Ce Pm Al Zn
1 2 2 2
Cartesian
0.000 0.000 0.000
0.000 0.000 3.436
0.000 0.000 23.719
0.000 0.000 7.276
0.000 0.000 19.879
0.000 0.000 10.727
0.000 0.000 16.428
```

7.
# Ce2PrAl
Theoretical X-ray powder pattern, Cu Kα (λ = 1.5418 Å). Input: DFT lattice parameters and positions (GGA-PBE).
Peak positions follow from Bragg's law for the DFT cell and can differ from measured ones.

Principal peaks in the range 10° ≤ 2θ ≤ 90°, in order of rising 2θ:
| two_theta | I/Imax |
| --- | --- |
| 19.0 | 12.2 |
| 26.2 | 11.4 |
| 32.5 | 100.0 |
| 36.2 | 18.6 |
| 38.5 | 31.6 |
| 53.9 | 23.8 |
| 62.9 | 14.9 |
| 65.8 | 25.9 |
| 68.1 | 11.7 |
| 88.7 | 12.1 |

Structural model:
```
Ce2PrAl
1.0
4.682 0.000 0.000
0.000 4.682 0.000
0.000 0.000 4.957
Ce Pr Al
2 1 1
Cartesian
0.000 2.341 0.000
2.341 0.000 0.000
0.000 0.000 2.479
2.341 2.341 2.479
```

8.
# Ce2PrAl2
Theoretical X-ray powder pattern, Cu Kα (λ = 1.5418 Å). Input: DFT lattice parameters and positions (GGA-PBE).
Peak positions follow from Bragg's law for the DFT cell and can differ from measured ones.

Principal peaks in the range 10° ≤ 2θ ≤ 90°, in order of rising 2θ:
| two_theta | I/Imax |
| --- | --- |
| 19.9 | 61.3 |
| 22.3 | 63.7 |
| 27.2 | 73.2 |
| 31.7 | 100.0 |
| 33.9 | 68.7 |
| 35.4 | 94.6 |
| 36.3 | 66.6 |
| 42.3 | 64.4 |
| 46.0 | 55.8 |
| 60.0 | 64.9 |

Structural model:
```
Ce2PrAl2
1.0
8.913 0.000 0.000
0.000 8.913 0.000
0.000 0.000 3.280
Ce Pr Al
4 2 4
Cartesian
0.965 3.492 0.000
3.492 7.948 0.000
5.422 0.965 0.000
7.948 5.422 0.000
0.000 0.000 0.000
4.457 4.457 0.000
1.637 6.093 1.640
2.820 1.637 1.640
6.093 7.277 1.640
7.277 2.820 1.640
```

9.
# Ce3PrAl8
Theoretical X-ray powder pattern, Cu Kα (λ = 1.5418 Å). Input: DFT lattice parameters and positions (GGA-PBE).
Peak positions follow from Bragg's law for the DFT cell and can differ from measured ones.

Principal peaks in the range 10° ≤ 2θ ≤ 90°, in order of rising 2θ:
| two_theta | I/Imax |
| --- | --- |
| 18.1 | 37.0 |
| 20.6 | 43.7 |
| 31.6 | 73.5 |
| 34.8 | 100.0 |
| 37.4 | 49.8 |
| 38.0 | 39.0 |
| 47.7 | 16.9 |
| 58.3 | 43.0 |
| 66.0 | 16.6 |
| 76.8 | 19.7 |

Structural model:
```
Ce3PrAl8
1.0
5.665 0.000 0.000
-2.833 4.906 0.000
0.000 0.000 9.098
Ce Pr Al
3 1 8
Cartesian
0.000 0.000 0.000
0.000 0.000 2.931
0.000 3.271 7.688
0.000 3.271 4.404
-1.374 2.478 1.463
1.373 0.792 6.048
1.374 2.478 1.463
0.000 4.857 1.463
2.833 1.635 3.725
2.833 1.635 8.303
4.293 0.792 6.048
2.833 3.321 6.048
```

10.
# Ce3Al6Pt4
Theoretical X-ray powder pattern, Cu Kα (λ = 1.5418 Å). Input: DFT lattice parameters and positions (GGA-PBE).
Peak positions follow from Bragg's law for the DFT cell and can differ from measured ones.

Principal peaks in the range 10° ≤ 2θ ≤ 90°, in order of rising 2θ:
| two_theta | I/Imax |
| --- | --- |
| 25.9 | 56.8 |
| 26.6 | 43.2 |
| 30.0 | 48.0 |
| 32.1 | 55.2 |
| 32.5 | 100.0 |
| 33.2 | 44.4 |
| 33.4 | 44.3 |
| 42.1 | 65.9 |
| 49.0 | 43.8 |
| 66.6 | 35.1 |

Structural model:
```
Ce3Al6Pt4
1.0
13.748 0.000 0.000
0.000 4.289 0.000
0.000 0.000 17.384
Ce Al Pt
12 24 16
Cartesian
1.030 1.072 2.657
1.772 3.217 12.074
2.745 3.217 8.242
4.130 1.072 16.934
5.102 1.072 3.381
5.844 3.217 11.349
7.904 1.072 6.035
8.646 3.217 14.003
9.619 3.217 0.450
11.004 1.072 9.142
11.976 1.072 5.311
12.718 3.217 14.727
0.385 1.072 7.551
0.592 3.217 5.384
0.760 1.072 16.620
2.344 3.217 15.126
3.185 3.217 4.746
3.386 3.217 1.940
3.489 1.072 10.632
3.690 1.072 13.439
4.530 1.072 6.434
6.114 3.217 7.928
6.282 1.072 14.076
6.489 3.217 16.244
7.259 1.072 1.141
7.466 3.217 3.309
7.634 1.072 9.456
9.218 3.217 10.951
10.059 3.217 3.946
10.260 3.217 6.752
10.363 1.072 15.444
10.564 1.072 12.638
11.404 1.072 2.258
12.989 3.217 0.764
13.157 1.072 12.001
13.364 3.217 9.833
1.038 1.072 9.976
1.147 1.072 14.095
1.711 3.217 0.173
2.074 1.072 5.631
4.800 3.217 14.323
5.163 1.072 8.865
5.727 3.217 5.403
5.836 3.217 1.284
7.912 1.072 16.100
8.022 1.072 11.982
8.585 3.217 8.520
8.948 1.072 3.061
11.675 3.217 11.753
12.037 1.072 17.212
12.601 3.217 3.289
12.710 3.217 7.408
```

11.
# Ce2Al16Pt9
Theoretical X-ray powder pattern, Cu Kα (λ = 1.5418 Å). Input: DFT lattice parameters and positions (GGA-PBE).
Peak positions follow from Bragg's law for the DFT cell and can differ from measured ones.

Principal peaks in the range 10° ≤ 2θ ≤ 90°, in order of rising 2θ:
| two_theta | I/Imax |
| --- | --- |
| 25.4 | 21.0 |
| 26.5 | 100.0 |
| 26.7 | 44.7 |
| 29.9 | 77.0 |
| 32.9 | 20.9 |
| 35.9 | 25.7 |
| 43.1 | 22.3 |
| 43.3 | 37.2 |
| 43.5 | 40.2 |
| 48.1 | 34.1 |

Structural model:
```
Ce2Al16Pt9
1.0
-2.088 5.994 9.169
2.088 -5.994 9.169
2.088 5.994 -9.169
Ce Al Pt
2 16 9
Cartesian
0.000 0.000 4.174
0.000 0.000 14.164
2.088 0.000 1.599
2.088 -3.935 7.709
2.088 -2.297 5.437
0.000 2.058 1.460
2.088 4.575 -1.984
0.000 4.638 0.000
2.088 2.297 5.437
2.088 4.575 1.984
0.000 1.419 7.184
0.000 3.696 3.732
0.000 7.349 0.000
0.000 1.419 11.153
2.088 3.935 7.709
0.000 8.291 3.732
0.000 9.929 1.460
0.000 5.994 7.570
0.000 0.000 0.000
2.088 2.215 -2.946
2.088 3.017 0.000
2.088 2.215 2.946
2.088 0.000 6.867
0.000 5.994 2.302
0.000 3.778 6.223
0.000 2.977 9.169
0.000 3.778 12.114
```

12.
# CeAlPt3
Theoretical X-ray powder pattern, Cu Kα (λ = 1.5418 Å). Input: DFT lattice parameters and positions (GGA-PBE).
Peak positions follow from Bragg's law for the DFT cell and can differ from measured ones.

Principal peaks in the range 10° ≤ 2θ ≤ 90°, in order of rising 2θ:
| two_theta | I/Imax |
| --- | --- |
| 26.8 | 24.3 |
| 30.4 | 100.0 |
| 32.4 | 27.2 |
| 34.5 | 20.8 |
| 34.7 | 28.7 |
| 35.2 | 67.3 |
| 39.1 | 41.7 |
| 41.0 | 23.0 |
| 45.0 | 28.9 |
| 50.3 | 20.7 |

Structural model:
```
CeAlPt3
1.0
5.535 0.000 0.000
0.000 7.204 0.000
0.000 0.000 5.101
Ce Al Pt
2 2 6
Cartesian
0.000 0.000 0.000
2.767 3.602 0.000
0.000 3.602 2.550
2.767 0.000 2.550
0.000 3.602 0.000
0.618 1.257 2.550
2.149 4.859 2.550
2.767 0.000 0.000
3.386 2.345 2.550
4.916 5.947 2.550
```